For Ca2TlSn, a DFT-relaxed cell (PBE, the Materials Project) gives the theoretical powder XRD pattern in this record (Cu Kα).

Structural model:
```
Ca2TlSn
1.0
7.751 0.000 0.000
0.000 7.751 0.000
0.000 0.000 7.751
Ca Tl Sn
8 4 4
direct
0.250 0.250 0.250 Ca
0.250 0.250 0.750 Ca
0.250 0.750 0.250 Ca
0.250 0.750 0.750 Ca
0.750 0.250 0.250 Ca
0.750 0.250 0.750 Ca
0.750 0.750 0.250 Ca
0.750 0.750 0.750 Ca
0.000 0.000 0.000 Tl
0.000 0.500 0.500 Tl
0.500 0.000 0.500 Tl
0.500 0.500 0.000 Tl
0.000 0.000 0.500 Sn
0.000 0.500 0.000 Sn
0.500 0.000 0.000 Sn
0.500 0.500 0.500 Sn
```

Most intense lines, 2θ from 10° to 80°, by intensity:
d [Å], 2θ (°), Rel. int.
2.740, 32.68, 100.0
3.876, 22.95, 39.5
1.582, 58.32, 38.0
1.733, 52.82, 18.8
1.938, 46.89, 18.2
1.226, 77.96, 16.4


For TmNiP, a DFT-relaxed cell (PBE, the Materials Project) gives the theoretical powder XRD pattern in this record (Cu Kα).

Structural model:
```
TmNiP
1.0
3.866 0.000 0.000
-1.933 3.348 0.000
0.000 0.000 15.046
Tm Ni P
4 4 4
direct
0.000 0.000 0.000 Tm
0.000 0.000 0.250 Tm
0.000 0.000 0.500 Tm
0.000 0.000 0.750 Tm
0.333 0.667 0.129 Ni
0.333 0.667 0.371 Ni
0.667 0.333 0.629 Ni
0.667 0.333 0.871 Ni
0.333 0.667 0.622 P
0.333 0.667 0.878 P
0.667 0.333 0.122 P
0.667 0.333 0.378 P
```

Most intense lines, 2θ from 10° to 80°, by intensity:
d [Å], 2θ (°), Rel. int.
2.501, 35.91, 100.0
1.933, 47.01, 34.5
3.348, 26.63, 33.0
1.529, 60.54, 21.7
1.348, 69.77, 20.5
1.199, 80.00, 19.4